# 1
Theoretical powder XRD pattern
Compound: V2Co3Ir
Radiation: Cu Ka
Structure: a structure optimized by DFT (PBE)
Peak positions follow from Bragg's law for the DFT cell and can differ from measured ones.

Cell and atoms:
```
V2Co3Ir
1.0
-3.847 3.847 5.147
3.847 -3.847 5.147
3.847 3.847 -5.147
V Co Ir
8 12 4
Cartesian
2.477 1.924 0.288
5.217 1.924 0.288
3.847 0.554 2.285
0.000 0.554 2.862
3.847 3.293 2.285
0.000 3.293 2.862
-1.370 1.924 4.859
1.370 1.924 4.859
3.847 0.000 0.000
1.631 -0.293 1.287
6.063 -0.293 1.287
1.631 3.555 -1.287
2.216 -0.293 3.860
-1.924 1.924 2.573
0.000 0.000 5.147
1.924 1.924 2.573
1.631 4.140 1.287
2.216 0.293 6.434
-2.216 4.140 3.860
2.216 4.140 3.860
3.847 1.924 -1.930
0.000 1.924 0.643
3.847 1.924 4.504
0.000 1.924 7.077
```

Largest 6 diffraction maxima, sorted by position, 10 to 90 degrees two-theta:
- 2θ = 23.8°, d 3.739, I 86
- 2θ = 37.0°, d 2.430, I 87
- 2θ = 41.0°, d 2.200, I 89
- 2θ = 43.3°, d 2.090, I 100
- 2θ = 44.1°, d 2.054, I 65
- 2θ = 47.3°, d 1.924, I 73

=====

# 2
Theoretical powder XRD pattern
Compound: Cu3PbF8
Radiation: Cu Ka
Structure: a structure optimized by DFT (PBE)
Peak positions follow from Bragg's law for the DFT cell and can differ from measured ones.

Cell and atoms:
```
Cu3PbF8
1.0
5.168 0.000 0.000
-2.584 4.476 0.000
0.000 0.000 7.197
Cu Pb F
3 1 8
Cartesian
0.000 0.000 0.000
0.000 2.984 0.000
2.584 1.492 0.000
0.000 0.000 3.598
-0.842 1.458 1.100
-1.742 3.018 6.096
1.684 0.000 1.100
0.842 1.458 6.096
0.000 2.984 3.598
2.584 1.492 3.598
3.484 0.000 6.096
1.742 3.018 1.100
```

Largest 6 diffraction maxima, sorted by position, 10 to 90 degrees two-theta:
- 2θ = 19.8°, d 4.476, I 54
- 2θ = 23.4°, d 3.801, I 70
- 2θ = 24.7°, d 3.598, I 54
- 2θ = 31.9°, d 2.804, I 33
- 2θ = 34.7°, d 2.584, I 62
- 2θ = 43.1°, d 2.099, I 100

=====

# 3
Theoretical powder XRD pattern
Compound: Tl5Bi2Au
Radiation: Cu Ka
Structure: a structure optimized by DFT (PBE)
Peak positions follow from Bragg's law for the DFT cell and can differ from measured ones.

Cell and atoms:
```
Tl5Bi2Au
1.0
8.048 -4.771 0.000
8.048 4.771 0.000
-1.564 0.000 6.408
Tl Bi Au
10 4 2
Cartesian
6.875 4.292 4.806
3.274 0.663 0.510
2.492 -0.663 3.714
5.194 1.054 5.478
8.557 1.054 4.135
5.976 -1.054 2.273
9.339 -1.054 0.931
12.041 0.663 2.694
11.259 -0.663 5.898
7.657 -4.292 1.602
5.922 2.327 2.217
9.392 2.327 0.987
5.140 -2.327 5.421
8.611 -2.327 4.191
3.242 2.386 3.204
4.024 -2.386 0.000
```

Largest 6 diffraction maxima, sorted by position, 10 to 90 degrees two-theta:
- 2θ = 30.1°, d 2.970, I 32
- 2θ = 30.3°, d 2.952, I 21
- 2θ = 30.6°, d 2.926, I 26
- 2θ = 32.6°, d 2.750, I 100
- 2θ = 36.9°, d 2.433, I 12
- 2θ = 58.2°, d 1.586, I 11

=====

# 4
Theoretical powder XRD pattern
Compound: Pm2NpGe4Ir3
Radiation: Cu Ka
Structure: a structure optimized by DFT (PBE)
Peak positions follow from Bragg's law for the DFT cell and can differ from measured ones.

Cell and atoms:
```
Pm2NpGe4Ir3
1.0
4.245 0.000 0.000
0.000 4.245 0.000
0.000 0.000 11.306
Pm Np Ge Ir
2 1 4 3
Cartesian
0.000 2.122 2.617
2.122 0.000 8.689
0.000 0.000 5.653
0.000 0.000 0.000
0.000 2.122 7.584
2.122 0.000 3.722
2.122 2.122 0.000
0.000 2.122 10.006
2.122 0.000 1.300
2.122 2.122 5.653
```

Largest 6 diffraction maxima, sorted by position, 10 to 90 degrees two-theta:
- 2θ = 30.8°, d 2.901, I 42
- 2θ = 31.7°, d 2.819, I 56
- 2θ = 33.8°, d 2.651, I 100
- 2θ = 42.6°, d 2.122, I 65
- 2θ = 44.0°, d 2.058, I 33
- 2θ = 54.1°, d 1.696, I 28